1.
Starting from a structure optimized by DFT (PBE), the powder diffractogram of HgPtO2 was calculated for copper Kα.
Intensities are scaled so that the largest is 100.

Structural model:
Cell lengths 3.2015, 3.2015, 23.2311 Å; angles 90.00, 90.00, 120.00 degrees
Space group R-3m (No. 166, hexagonal axes)
Inequivalent atoms, fractional coordinates:
1 Hg 0.0000 0.0000 0.0000 x3
2 Pt 0.0000 0.0000 0.5000 x3
3 O 0.0000 0.0000 0.1258 x6

Largest 6 diffraction maxima, low angle first, 5° ≤ 2θ ≤ 70°:
d [Å], 2θ (°), I/Imax
3.872, 22.97, 84
2.697, 33.22, 100
2.502, 35.89, 68
2.005, 45.22, 50
1.781, 51.31, 30
1.479, 62.82, 33

=====

2.
Starting from a structure optimized by DFT (PBE), the powder diffractogram of Si was calculated for copper Kα.
Intensities are scaled so that the largest is 100.

Structural model:
Cell lengths 2.6394, 2.6394, 4.7641 Å; angles 90.00, 90.00, 120.00 degrees
Space group P6_3/mmc (No. 194)
Inequivalent atoms, fractional coordinates:
1 Si 0.3333 0.6667 0.2500 x2

Largest 4 diffraction maxima, low angle first, 5° ≤ 2θ ≤ 70°:
d [Å], 2θ (°), I/Imax
2.382, 37.77, 35
2.286, 39.42, 23
2.061, 43.93, 100
1.649, 55.73, 16

=====

3.
Starting from a structure optimized by DFT (PBE), the powder diffractogram of BaP2H4O8 was calculated for copper Kα.
Intensities are scaled so that the largest is 100.

Structural model:
Cell lengths 7.789, 10.573, 8.628 Å; angles 90.00, 90.00, 90.00 degrees
Space group Pccn (No. 56)
Inequivalent atoms, fractional coordinates:
1 Ba 0.250 0.250 0.100 x4
2 P 0.075 0.577 0.208 x8
3 H 0.082 0.578 0.698 x8
4 H 0.184 0.618 0.449 x8
5 O 0.037 0.067 0.754 x8
6 O 0.083 0.139 0.361 x8
7 O 0.103 0.652 0.367 x8
8 O 0.239 0.570 0.113 x8

Largest 6 diffraction maxima, low angle first, 5° ≤ 2θ ≤ 70°:
d [Å], 2θ (°), I/Imax
6.271, 14.12, 100
3.774, 23.57, 59
3.211, 27.78, 76
3.136, 28.46, 43
2.789, 32.10, 48
2.729, 32.81, 55

=====

4.
Starting from a structure optimized by DFT (PBE), the powder diffractogram of TiCo2Si was calculated for copper Kα.
Intensities are scaled so that the largest is 100.

Structural model:
Cell lengths 8.594, 4.507, 5.538 Å; angles 90.00, 103.11, 90.00 degrees
Space group Cm (No. 8)
Inequivalent atoms, fractional coordinates:
1 Ti 0.000 0.000 0.000 x2
2 Ti 0.232 0.500 0.611 x2
3 Co 0.024 0.500 0.215 x2
4 Co 0.046 0.000 0.512 x2
5 Co 0.270 0.256 0.223 x4
6 Si 0.281 0.000 0.870 x2
7 Si 0.425 0.000 0.561 x2

Largest 6 diffraction maxima, low angle first, 5° ≤ 2θ ≤ 70°:
d [Å], 2θ (°), I/Imax
5.394, 16.43, 86
2.127, 42.50, 48
2.093, 43.23, 50
1.982, 45.77, 100
1.931, 47.07, 48
1.799, 50.74, 49

=====

5.
Starting from a structure optimized by DFT (PBE), the powder diffractogram of Pr3Si3Ni was calculated for copper Kα.
Intensities are scaled so that the largest is 100.

Structural model:
Cell lengths 4.011, 4.338, 18.123 Å; angles 90.00, 90.00, 90.00 degrees
Space group Imm2 (No. 44)
Inequivalent atoms, fractional coordinates:
1 Pr 0.000 0.000 0.000 x2
2 Pr 0.000 0.000 0.367 x2
3 Pr 0.000 0.500 0.681 x2
4 Si 0.000 0.000 0.548 x2
5 Si 0.000 0.000 0.820 x2
6 Si 0.000 0.500 0.240 x2
7 Ni 0.000 0.500 0.115 x2

Largest 6 diffraction maxima, low angle first, 5° ≤ 2θ ≤ 70°:
d [Å], 2θ (°), I/Imax
3.342, 26.68, 53
2.801, 31.95, 100
2.781, 32.18, 61
2.469, 36.38, 22
2.169, 41.64, 24
1.627, 56.58, 24

=====

6.
Starting from a structure optimized by DFT (PBE), the powder diffractogram of KNdHfZrO6 was calculated for copper Kα.
Intensities are scaled so that the largest is 100.

Structural model:
Cell lengths 8.297, 8.297, 8.297 Å; angles 90.00, 90.00, 90.00 degrees
Space group F-43m (No. 216)
Inequivalent atoms, fractional coordinates:
1 K 0.000 0.000 0.000 x4
2 Nd 0.000 0.000 0.500 x4
3 Hf 0.250 0.250 0.250 x4
4 Zr 0.250 0.250 0.750 x4
5 O 0.002 0.250 0.250 x24

Largest 6 diffraction maxima, low angle first, 5° ≤ 2θ ≤ 70°:
d [Å], 2θ (°), I/Imax
4.790, 18.52, 21
2.934, 30.47, 100
2.502, 35.90, 13
2.074, 43.64, 31
1.694, 54.15, 40
1.467, 63.42, 19

=====

7.
Starting from a structure optimized by DFT (PBE), the powder diffractogram of TaNiP2 was calculated for copper Kα.
Intensities are scaled so that the largest is 100.

Structural model:
Cell lengths 5.417, 3.348, 12.150 Å; angles 90.00, 90.00, 90.00 degrees
Space group Pnma (No. 62)
Inequivalent atoms, fractional coordinates:
1 Ta 0.015 0.250 0.170 x4
2 Ni 0.022 0.250 0.415 x4
3 P 0.138 0.250 0.690 x4
4 P 0.190 0.250 0.964 x4

Largest 6 diffraction maxima, low angle first, 5° ≤ 2θ ≤ 70°:
d [Å], 2θ (°), I/Imax
3.244, 27.50, 38
3.228, 27.64, 41
2.709, 33.07, 24
2.579, 34.79, 22
2.217, 40.69, 14
2.076, 43.59, 100

=====

8.
Starting from a structure optimized by DFT (PBE), the powder diffractogram of In4Br7 was calculated for copper Kα.
Intensities are scaled so that the largest is 100.

Structural model:
Cell lengths 7.8167, 7.8167, 47.6217 Å; angles 90.00, 90.00, 120.00 degrees
Space group R-3m (No. 166, hexagonal axes)
Inequivalent atoms, fractional coordinates:
1 In 0.0000 0.0000 0.0000 x3
2 In 0.0000 0.0000 0.0829 x6
3 In 0.0000 0.0000 0.2082 x6
4 In 0.0000 0.0000 0.3489 x6
5 In 0.0000 0.0000 0.5000 x3
6 Br 0.0000 0.0000 0.1547 x6
7 Br 0.0054 0.5027 0.6337 x18
8 Br 0.0205 0.5102 0.1072 x18

Largest 6 diffraction maxima, low angle first, 5° ≤ 2θ ≤ 70°:
d [Å], 2θ (°), I/Imax
3.908, 22.75, 70
3.256, 27.39, 72
3.034, 29.44, 100
2.942, 30.38, 37
2.667, 33.61, 35
1.954, 46.47, 71